[1]
This entry pairs a crystal structure of La2SmThSe4 with its theoretical powder XRD pattern. Radiation: Cu Kα X-rays. Structure: DFT lattice parameters and positions (GGA-PBE).

Structure:
```
data_La2SmThSe4
_cell_length_a 7.364
_cell_length_b 4.235
_cell_length_c 7.374
_cell_angle_alpha 90.00
_cell_angle_beta 109.35
_cell_angle_gamma 90.00
_symmetry_space_group_name_H-M 'P 1 2/m 1'
_symmetry_Int_Tables_number 10
_symmetry_space_group_name_Hall '-P 2y'
loop_
_atom_site_label
_atom_site_type_symbol
_atom_site_fract_x
_atom_site_fract_y
_atom_site_fract_z
_atom_site_occupancy
La1 La 0.000 0.000 0.000 1
La2 La 0.000 0.500 0.500 1
Sm1 Sm 0.500 0.000 0.500 1
Th1 Th 0.500 0.500 0.000 1
Se1 Se 0.257 0.000 0.750 1
Se2 Se 0.259 0.500 0.255 1
```

Largest 10 diffraction maxima, by angle, 15 to 90 degrees two-theta:
| 2θ (°) | I (rel.) | hkl |
| --- | --- | --- |
| 25.62 | 11 | 2 0 0 |
| 25.73 | 11 | 1 1 -1 |
| 29.74 | 100 | 1 1 1 |
| 42.49 | 38 | 1 1 -3 |
| 42.57 | 25 | 3 1 -1 |
| 42.71 | 12 | 0 2 0 |
| 52.66 | 13 | 0 0 4 |
| 52.89 | 13 | 2 2 -2 |
| 61.75 | 12 | 2 2 2 |
| 70.00 | 17 | 0 2 4 |

---

[2]
This entry pairs a crystal structure of LiAgSbO4 with its theoretical powder XRD pattern. Radiation: Cu Kα X-rays. Structure: DFT lattice parameters and positions (GGA-PBE).

Structure:
```
data_LiAgSbO4
_cell_length_a 5.085
_cell_length_b 5.085
_cell_length_c 8.396
_cell_angle_alpha 90.00
_cell_angle_beta 90.00
_cell_angle_gamma 90.00
_symmetry_space_group_name_H-M 'I -4'
_symmetry_Int_Tables_number 82
_symmetry_space_group_name_Hall 'I -4'
loop_
_atom_site_label
_atom_site_type_symbol
_atom_site_fract_x
_atom_site_fract_y
_atom_site_fract_z
_atom_site_occupancy
Li1 Li 0.000 0.000 0.000 1
Ag1 Ag 0.000 0.500 0.250 1
Sb1 Sb 0.000 0.500 0.750 1
O1 O 0.196 0.754 0.869 1
```

Largest 10 diffraction maxima, by angle, 15 to 90 degrees two-theta:
| 2θ (°) | I (rel.) | hkl |
| --- | --- | --- |
| 21.16 | 68 | 0 0 2 |
| 24.76 | 88 | 1 1 0 |
| 32.79 | 100 | 1 1 2 |
| 35.30 | 22 | 2 0 0 |
| 41.52 | 42 | 2 0 2 |
| 50.34 | 25 | 1 1 4 |
| 50.78 | 19 | 2 2 0 |
| 55.61 | 19 | 2 2 2 |
| 56.88 | 27 | 2 0 4 |
| 61.78 | 29 | 1 3 2 |

---

[3]
This entry pairs a crystal structure of CeHoNp2Se4 with its theoretical powder XRD pattern. Radiation: Cu Kα X-rays. Structure: DFT lattice parameters and positions (GGA-PBE).

Structure:
```
data_CeHoNp2Se4
_cell_length_a 7.095
_cell_length_b 4.113
_cell_length_c 7.156
_cell_angle_alpha 90.00
_cell_angle_beta 109.40
_cell_angle_gamma 90.00
_symmetry_space_group_name_H-M 'P 1 2/m 1'
_symmetry_Int_Tables_number 10
_symmetry_space_group_name_Hall '-P 2y'
loop_
_atom_site_label
_atom_site_type_symbol
_atom_site_fract_x
_atom_site_fract_y
_atom_site_fract_z
_atom_site_occupancy
Ce1 Ce 0.000 0.000 0.000 1
Ho1 Ho 0.000 0.500 0.500 1
Np1 Np 0.500 0.000 0.500 1
Np2 Np 0.500 0.500 0.000 1
Se1 Se 0.249 0.000 0.744 1
Se2 Se 0.254 0.500 0.257 1
```

Largest 10 diffraction maxima, by angle, 15 to 90 degrees two-theta:
| 2θ (°) | I (rel.) | hkl |
| --- | --- | --- |
| 26.58 | 24 | 2 0 0 |
| 30.73 | 100 | 1 1 1 |
| 43.88 | 25 | 1 1 -3 |
| 44.01 | 25 | 0 2 0 |
| 44.17 | 25 | 3 1 -1 |
| 54.66 | 13 | 2 2 -2 |
| 64.01 | 12 | 2 2 2 |
| 72.47 | 11 | 0 2 4 |
| 72.65 | 11 | 1 3 1 |
| 72.91 | 11 | 4 2 0 |

---

[4]
This entry pairs a crystal structure of Er2GeTe4 with its theoretical powder XRD pattern. Radiation: Cu Kα X-rays. Structure: DFT lattice parameters and positions (GGA-PBE).

Structure:
```
data_Er2GeTe4
_cell_length_a 15.875
_cell_length_b 4.320
_cell_length_c 7.555
_cell_angle_alpha 90.00
_cell_angle_beta 117.01
_cell_angle_gamma 90.00
_symmetry_space_group_name_H-M 'C 1 2/m 1'
_symmetry_Int_Tables_number 12
_symmetry_space_group_name_Hall '-C 2y'
loop_
_atom_site_label
_atom_site_type_symbol
_atom_site_fract_x
_atom_site_fract_y
_atom_site_fract_z
_atom_site_occupancy
Er1 Er 0.239 0.000 0.223 1
Ge1 Ge 0.000 0.500 0.500 1
Te1 Te 0.118 0.500 0.946 1
Te2 Te 0.131 0.000 0.475 1
```

Largest 10 diffraction maxima, by angle, 15 to 90 degrees two-theta:
| 2θ (°) | I (rel.) | hkl |
| --- | --- | --- |
| 26.77 | 100 | 1 1 1 |
| 27.04 | 59 | 4 0 -2 |
| 34.32 | 21 | 2 0 2 |
| 34.66 | 45 | 3 1 1 |
| 35.12 | 70 | 5 1 -1 |
| 41.52 | 54 | 3 1 -3 |
| 41.82 | 28 | 0 2 0 |
| 45.71 | 22 | 7 1 -1 |
| 50.51 | 19 | 4 2 -2 |
| 55.76 | 18 | 8 0 -4 |